(1)
This entry pairs a crystal structure of LiTi3NbP6O24 with its theoretical PXRD pattern. Radiation: λ = 1.5418 Å (Cu Kα). Structure: DFT lattice parameters and positions (PBE).
No peak broadening, texture or thermal motion is included.

Atomic structure:
a = 8.8431 Å, b = 8.8431 Å, c = 8.8431 Å
α = 58.63°, β = 58.63°, γ = 58.63°
Positions (direct):
Li  0.0000  0.0000  0.0000
Ti  0.3791  0.3791  0.3791
Ti  0.6565  0.6565  0.6565
Ti  0.8718  0.8718  0.8718
Nb  0.1609  0.1609  0.1609
P  0.0495  0.7635  0.4854
P  0.2641  0.5637  0.9871
P  0.4854  0.0495  0.7635
P  0.5637  0.9871  0.2641
P  0.7635  0.4854  0.0495
P  0.9871  0.2641  0.5637
O  0.0156  0.8138  0.6468
O  0.0224  0.2161  0.3983
O  0.0893  0.9299  0.2960
O  0.0984  0.7502  0.9527
O  0.1615  0.2915  0.5273
O  0.2161  0.3983  0.0224
O  0.2262  0.5878  0.4717
O  0.2915  0.5273  0.1615
O  0.2960  0.0893  0.9299
O  0.3983  0.0224  0.2161
O  0.4418  0.5734  0.8102
O  0.4717  0.2262  0.5878
O  0.5116  0.8759  0.7429
O  0.5273  0.1615  0.2915
O  0.5734  0.8102  0.4418
O  0.5878  0.4717  0.2262
O  0.6468  0.0156  0.8138
O  0.7429  0.5116  0.8759
O  0.7502  0.9527  0.0984
O  0.8102  0.4418  0.5734
O  0.8138  0.6468  0.0156
O  0.8759  0.7429  0.5116
O  0.9299  0.2960  0.0893
O  0.9527  0.0984  0.7502

Top 10 peaks for 15° ≤ 2θ ≤ 90°, low angle first:
20.1 deg, I 59
20.5 deg, I 34
23.9 deg, I 100
28.9 deg, I 44
31.8 deg, I 17
32.1 deg, I 34
35.9 deg, I 15
46.1 deg, I 14
52.9 deg, I 19
56.2 deg, I 14



(2)
This entry pairs a crystal structure of Li4PaNbO8 with its theoretical PXRD pattern. Radiation: λ = 1.5418 Å (Cu Kα). Structure: DFT lattice parameters and positions (PBE).
No peak broadening, texture or thermal motion is included.

Atomic structure:
a = 6.3014 Å, b = 6.3014 Å, c = 6.3014 Å
α = 58.97°, β = 58.97°, γ = 58.97°
Positions (direct):
Li  0.0000  0.0000  0.0000
Li  0.3909  0.3909  0.8889
Li  0.3909  0.8889  0.3909
Li  0.8889  0.3909  0.3909
Pa  0.3758  0.3758  0.3758
Nb  0.7743  0.7743  0.7743
O  0.1316  0.1316  0.1316
O  0.1433  0.1433  0.6086
O  0.1433  0.6086  0.1433
O  0.1513  0.6371  0.6371
O  0.6086  0.1433  0.1433
O  0.6371  0.1513  0.6371
O  0.6371  0.6371  0.1513
O  0.6578  0.6578  0.6578

Top 10 peaks for 15° ≤ 2θ ≤ 90°, low angle first:
17.1 deg, I 45
17.5 deg, I 49
20.1 deg, I 100
28.8 deg, I 61
33.3 deg, I 38
33.7 deg, I 67
44.6 deg, I 18
46.2 deg, I 23
53.9 deg, I 22
54.2 deg, I 17



(3)
This entry pairs a crystal structure of RbLi2Nb2O7 with its theoretical PXRD pattern. Radiation: λ = 1.5418 Å (Cu Kα). Structure: DFT lattice parameters and positions (PBE).
No peak broadening, texture or thermal motion is included.

Atomic structure:
a = 9.5838 Å, b = 9.5838 Å, c = 9.5838 Å
α = 155.79°, β = 35.08°, γ = 154.99°
Positions (direct):
Rb  0.0000  0.0000  0.0000
Li  0.2305  0.4881  0.7424
Li  0.7457  0.4881  0.2576
Nb  0.4047  0.0228  0.3819
Nb  0.6408  0.0228  0.6181
O  0.0987  0.4815  0.6173
O  0.2589  0.9804  0.2785
O  0.3742  0.4851  0.8890
O  0.4857  0.9857  0.5000
O  0.5961  0.4851  0.1110
O  0.7019  0.9804  0.7215
O  0.8642  0.4815  0.3827

Top 10 peaks for 15° ≤ 2θ ≤ 90°, low angle first:
19.4 deg, I 34
26.0 deg, I 96
26.6 deg, I 100
31.0 deg, I 96
32.6 deg, I 59
33.1 deg, I 51
39.4 deg, I 48
43.6 deg, I 44
45.1 deg, I 41
51.0 deg, I 38



(4)
This entry pairs a crystal structure of Li2NbRh2O6 with its theoretical PXRD pattern. Radiation: λ = 1.5418 Å (Cu Kα). Structure: DFT lattice parameters and positions (PBE).
No peak broadening, texture or thermal motion is included.

Atomic structure:
a = 5.3213 Å, b = 5.3213 Å, c = 5.3894 Å
α = 99.78°, β = 99.78°, γ = 122.19°
Positions (direct):
Li  0.1773  0.8227  0.0000
Li  0.8227  0.1773  0.0000
Nb  0.0000  0.0000  0.5000
Rh  0.3391  0.6609  0.5000
Rh  0.6609  0.3391  0.5000
O  0.0560  0.4035  0.7235
O  0.2341  0.2341  0.2594
O  0.4035  0.0560  0.7235
O  0.5965  0.9440  0.2765
O  0.7659  0.7659  0.7406
O  0.9440  0.5965  0.2765

Top 10 peaks for 15° ≤ 2θ ≤ 90°, low angle first:
17.6 deg, I 100
34.4 deg, I 32
35.2 deg, I 15
35.6 deg, I 25
41.8 deg, I 18
41.9 deg, I 36
45.0 deg, I 14
55.2 deg, I 10
59.5 deg, I 17
61.9 deg, I 15



(5)
This entry pairs a crystal structure of Li3Nb4SnO12 with its theoretical PXRD pattern. Radiation: λ = 1.5418 Å (Cu Kα). Structure: DFT lattice parameters and positions (PBE).
No peak broadening, texture or thermal motion is included.

Atomic structure:
a = 5.4596 Å, b = 5.6581 Å, c = 7.8440 Å
α = 92.79°, β = 90.06°, γ = 90.02°
Positions (direct):
Li  0.0000  0.0000  0.0000
Li  0.0183  0.9886  0.4767
Li  0.5297  0.4926  0.9955
Nb  0.0217  0.5867  0.7098
Nb  0.0272  0.5534  0.1899
Nb  0.5189  0.0861  0.7110
Nb  0.5206  0.0496  0.2010
Sn  0.5366  0.5420  0.4640
O  0.0791  0.5908  0.4402
O  0.2159  0.2709  0.1350
O  0.2300  0.8854  0.7376
O  0.3148  0.3923  0.7461
O  0.3243  0.7632  0.1400
O  0.4144  0.0927  0.4407
O  0.6189  0.0895  0.9458
O  0.7148  0.3688  0.2217
O  0.7485  0.8237  0.6459
O  0.7970  0.3154  0.6406
O  0.8232  0.8808  0.2386
O  0.9098  0.6067  0.9461

Top 10 peaks for 15° ≤ 2θ ≤ 90°, low angle first:
19.8 deg, I 19
22.7 deg, I 100
31.7 deg, I 100
32.8 deg, I 78
46.2 deg, I 39
46.4 deg, I 19
51.3 deg, I 18
57.9 deg, I 19
57.9 deg, I 20
58.6 deg, I 17



(6)
This entry pairs a crystal structure of Sr3Li2Nb4O13 with its theoretical PXRD pattern. Radiation: λ = 1.5418 Å (Cu Kα). Structure: DFT lattice parameters and positions (PBE).
No peak broadening, texture or thermal motion is included.

Atomic structure:
a = 17.6033 Å, b = 17.6033 Å, c = 17.6033 Å
α = 166.78°, β = 166.78°, γ = 18.73°
Positions (direct):
Sr  0.0000  0.0000  0.0000
Sr  0.1229  0.1229  0.0000
Sr  0.8771  0.8771  0.0000
Li  0.2500  0.7500  0.5000
Li  0.7500  0.2500  0.5000
Nb  0.3205  0.3205  0.0000
Nb  0.4409  0.4409  0.0000
Nb  0.5591  0.5591  0.0000
Nb  0.6795  0.6795  0.0000
O  0.0581  0.5581  0.5000
O  0.1732  0.6732  0.5000
O  0.2659  0.2659  0.0000
O  0.3268  0.8268  0.5000
O  0.3826  0.3826  0.0000
O  0.4419  0.9419  0.5000
O  0.5000  0.5000  0.0000
O  0.5581  0.0581  0.5000
O  0.6174  0.6174  0.0000
O  0.6732  0.1732  0.5000
O  0.7341  0.7341  0.0000
O  0.8268  0.3268  0.5000
O  0.9419  0.4419  0.5000

Top 10 peaks for 15° ≤ 2θ ≤ 90°, low angle first:
28.4 deg, I 78
31.2 deg, I 79
32.0 deg, I 100
41.6 deg, I 25
44.7 deg, I 62
52.9 deg, I 29
53.9 deg, I 26
56.1 deg, I 42
62.7 deg, I 27
88.7 deg, I 30



(7)
This entry pairs a crystal structure of Sr3Li4Nb6O20 with its theoretical PXRD pattern. Radiation: λ = 1.5418 Å (Cu Kα). Structure: DFT lattice parameters and positions (PBE).
No peak broadening, texture or thermal motion is included.

Atomic structure:
a = 5.6698 Å, b = 5.6802 Å, c = 13.5247 Å
α = 101.97°, β = 90.14°, γ = 90.14°
Positions (direct):
Sr  0.0000  0.0000  0.0000
Sr  0.0098  0.1537  0.3238
Sr  0.5045  0.6504  0.3231
Li  0.2524  0.0892  0.6533
Li  0.2633  0.5893  0.6537
Li  0.7558  0.1059  0.6871
Li  0.7638  0.6076  0.6880
Nb  0.0051  0.7352  0.4820
Nb  0.0081  0.5809  0.1620
Nb  0.0159  0.4197  0.8533
Nb  0.5026  0.9204  0.8526
Nb  0.5048  0.0790  0.1625
Nb  0.5121  0.2348  0.4822
O  0.0393  0.3699  0.7114
O  0.0540  0.6888  0.3209
O  0.2120  0.8905  0.1599
O  0.2472  0.0168  0.4838
O  0.2518  0.1975  0.8805
O  0.2519  0.7095  0.8777
O  0.2669  0.5156  0.4827
O  0.2753  0.3738  0.1632
O  0.4597  0.1840  0.3213
O  0.4779  0.8720  0.7110
O  0.5425  0.3287  0.6235
O  0.5480  0.0226  0.0211
O  0.7295  0.8429  0.1907
O  0.7485  0.9810  0.4528
O  0.7627  0.1891  0.8539
O  0.7651  0.4813  0.4514
O  0.7651  0.7008  0.8525
O  0.7790  0.3366  0.1871
O  0.9700  0.5317  0.0204
O  0.9751  0.8261  0.6233

Top 10 peaks for 15° ≤ 2θ ≤ 90°, low angle first:
22.4 deg, I 52
24.4 deg, I 41
27.9 deg, I 59
27.9 deg, I 60
31.5 deg, I 100
32.5 deg, I 33
32.6 deg, I 94
40.9 deg, I 35
45.1 deg, I 41
45.2 deg, I 41



(8)
This entry pairs a crystal structure of SrLi2Nb2O7 with its theoretical PXRD pattern. Radiation: λ = 1.5418 Å (Cu Kα). Structure: DFT lattice parameters and positions (PBE).
No peak broadening, texture or thermal motion is included.

Atomic structure:
a = 9.5962 Å, b = 9.5962 Å, c = 5.6652 Å
α = 90.00°, β = 90.00°, γ = 34.39°
Positions (direct):
Sr  0.2455  0.7545  0.7500
Sr  0.7545  0.2455  0.2500
Li  0.2373  0.2373  0.0000
Li  0.2373  0.2373  0.5000
Li  0.7627  0.7627  0.0000
Li  0.7627  0.7627  0.5000
Nb  0.1391  0.6304  0.2500
Nb  0.3696  0.8609  0.2500
Nb  0.6304  0.1391  0.7500
Nb  0.8609  0.3696  0.7500
O  0.0687  0.4956  0.2500
O  0.1174  0.1174  0.0000
O  0.1174  0.1174  0.5000
O  0.1988  0.8012  0.2500
O  0.4065  0.4065  0.0000
O  0.4065  0.4065  0.5000
O  0.4956  0.0687  0.7500
O  0.5044  0.9313  0.2500
O  0.5935  0.5935  0.0000
O  0.5935  0.5935  0.5000
O  0.8012  0.1988  0.7500
O  0.8826  0.8826  0.0000
O  0.8826  0.8826  0.5000
O  0.9313  0.5044  0.7500

Top 10 peaks for 15° ≤ 2θ ≤ 90°, low angle first:
22.7 deg, I 24
26.6 deg, I 100
31.6 deg, I 50
33.1 deg, I 76
39.3 deg, I 21
45.2 deg, I 44
53.2 deg, I 28
57.2 deg, I 29
61.5 deg, I 20
88.1 deg, I 17